1.
Theoretical XRD peak list
Compound: Ni21B6P2
Radiation: copper Kα
Structure: DFT lattice parameters and positions (GGA-PBE)
No peak broadening, texture or thermal motion is included.

The 6 most intense peaks (15° ≤ 2θ ≤ 90°), sorted by position:
d/Å, Position (°2θ), I_rel
2.130, 42.4, 19.9
2.008, 45.1, 100.0
1.845, 49.4, 16.6
1.764, 51.8, 25.3
1.739, 52.6, 21.1
1.230, 77.6, 16.5

Structure:
a = 7.380 Å, b = 7.380 Å, c = 7.380 Å
α = 60.00°, β = 60.00°, γ = 60.00°
Sites, in units of the cell vectors:
Ni 0.000 0.000 0.000
Ni 0.000 0.000 0.336
Ni 0.000 0.000 0.664
Ni 0.000 0.336 0.000
Ni 0.000 0.336 0.664
Ni 0.000 0.664 0.000
Ni 0.000 0.664 0.336
Ni 0.131 0.623 0.623
Ni 0.336 0.000 0.000
Ni 0.336 0.000 0.664
Ni 0.336 0.664 0.000
Ni 0.377 0.377 0.377
Ni 0.377 0.377 0.869
Ni 0.377 0.869 0.377
Ni 0.623 0.131 0.623
Ni 0.623 0.623 0.131
Ni 0.623 0.623 0.623
Ni 0.664 0.000 0.000
Ni 0.664 0.000 0.336
Ni 0.664 0.336 0.000
Ni 0.869 0.377 0.377
B 0.273 0.273 0.727
B 0.273 0.727 0.273
B 0.273 0.727 0.727
B 0.727 0.273 0.273
B 0.727 0.273 0.727
B 0.727 0.727 0.273
P 0.250 0.250 0.250
P 0.750 0.750 0.750

2.
Theoretical XRD peak list
Compound: CsNaPb3
Radiation: copper Kα
Structure: DFT lattice parameters and positions (GGA-PBE)
No peak broadening, texture or thermal motion is included.

The 6 most intense peaks (15° ≤ 2θ ≤ 90°), sorted by position:
d/Å, Position (°2θ), I_rel
3.457, 25.8, 18.6
3.241, 27.5, 100.0
2.662, 33.7, 25.1
2.563, 35.0, 39.2
2.472, 36.3, 20.5
1.812, 50.4, 23.6

Structure:
a = 8.112 Å, b = 8.112 Å, c = 8.112 Å
α = 144.51°, β = 141.68°, γ = 53.21°
Sites, in units of the cell vectors:
Cs 0.000 0.000 0.000
Na 0.617 0.617 0.000
Pb 0.252 0.752 0.500
Pb 0.390 0.390 0.000
Pb 0.763 0.263 0.500

3.
Theoretical XRD peak list
Compound: AgBi5Se8
Radiation: copper Kα
Structure: DFT lattice parameters and positions (GGA-PBE)
No peak broadening, texture or thermal motion is included.

The 6 most intense peaks (15° ≤ 2θ ≤ 90°), sorted by position:
d/Å, Position (°2θ), I_rel
3.674, 24.2, 100.0
3.046, 29.3, 51.6
2.345, 38.4, 51.5
2.154, 41.9, 94.9
1.586, 58.2, 26.0
1.244, 76.6, 30.9

Structure:
a = 8.616 Å, b = 8.616 Å, c = 8.616 Å
α = 60.00°, β = 60.00°, γ = 60.00°
Sites, in units of the cell vectors:
Ag 0.000 0.000 0.000
Bi 0.110 0.630 0.630
Bi 0.250 0.250 0.250
Bi 0.630 0.110 0.630
Bi 0.630 0.630 0.110
Bi 0.630 0.630 0.630
Se 0.383 0.383 0.383
Se 0.383 0.383 0.850
Se 0.383 0.850 0.383
Se 0.389 0.870 0.870
Se 0.850 0.383 0.383
Se 0.870 0.389 0.870
Se 0.870 0.870 0.389
Se 0.870 0.870 0.870

4.
Theoretical XRD peak list
Compound: Mn2Ga2FeNi7
Radiation: copper Kα
Structure: DFT lattice parameters and positions (GGA-PBE)
No peak broadening, texture or thermal motion is included.

The 6 most intense peaks (15° ≤ 2θ ≤ 90°), sorted by position:
d/Å, Position (°2θ), I_rel
2.481, 36.2, 18.9
2.119, 42.7, 100.0
2.107, 42.9, 41.8
1.889, 48.2, 24.9
1.881, 48.4, 27.1
1.806, 50.6, 28.7

Structure:
a = 3.611 Å, b = 3.611 Å, c = 11.283 Å
α = 90.00°, β = 90.00°, γ = 90.48°
Sites, in units of the cell vectors:
Mn 0.000 0.000 0.178
Mn 0.000 0.000 0.822
Ga 0.500 0.500 0.194
Ga 0.500 0.500 0.806
Fe 0.500 0.500 0.500
Ni 0.000 0.000 0.500
Ni 0.000 0.500 0.346
Ni 0.000 0.500 0.654
Ni 0.268 0.732 0.000
Ni 0.500 0.000 0.346
Ni 0.500 0.000 0.654
Ni 0.732 0.268 0.000

5.
Theoretical XRD peak list
Compound: MgCu4Si2
Radiation: copper Kα
Structure: DFT lattice parameters and positions (GGA-PBE)
No peak broadening, texture or thermal motion is included.

The 6 most intense peaks (15° ≤ 2θ ≤ 90°), sorted by position:
d/Å, Position (°2θ), I_rel
3.476, 25.6, 19.8
2.915, 30.7, 53.6
2.273, 39.7, 48.4
2.094, 43.2, 42.3
2.030, 44.6, 100.0
1.669, 55.0, 24.2

Structure:
a = 7.336 Å, b = 7.336 Å, c = 7.336 Å
α = 32.13°, β = 32.13°, γ = 32.13°
Sites, in units of the cell vectors:
Mg 0.000 0.000 0.000
Cu 0.131 0.131 0.131
Cu 0.405 0.405 0.405
Cu 0.595 0.595 0.595
Cu 0.869 0.869 0.869
Si 0.247 0.247 0.247
Si 0.753 0.753 0.753

6.
Theoretical XRD peak list
Compound: Pa5Fe2
Radiation: copper Kα
Structure: DFT lattice parameters and positions (GGA-PBE)
No peak broadening, texture or thermal motion is included.

The 6 most intense peaks (15° ≤ 2θ ≤ 90°), sorted by position:
d/Å, Position (°2θ), I_rel
2.738, 32.7, 100.0
2.678, 33.5, 94.2
2.626, 34.1, 97.0
2.495, 36.0, 44.0
2.412, 37.3, 48.2
2.071, 43.7, 47.1

Structure:
a = 8.327 Å, b = 8.327 Å, c = 6.645 Å
α = 96.18°, β = 96.18°, γ = 41.19°
Sites, in units of the cell vectors:
Pa 0.102 0.334 0.332
Pa 0.106 0.894 0.750
Pa 0.304 0.506 0.083
Pa 0.334 0.102 0.832
Pa 0.494 0.696 0.417
Pa 0.506 0.304 0.583
Pa 0.666 0.898 0.168
Pa 0.696 0.494 0.917
Pa 0.894 0.106 0.250
Pa 0.898 0.666 0.668
Fe 0.074 0.717 0.397
Fe 0.283 0.926 0.103
Fe 0.717 0.074 0.897
Fe 0.926 0.283 0.603

7.
Theoretical XRD peak list
Compound: La6Pm2DyHo
Radiation: copper Kα
Structure: DFT lattice parameters and positions (GGA-PBE)
No peak broadening, texture or thermal motion is included.

The 6 most intense peaks (15° ≤ 2θ ≤ 90°), sorted by position:
d/Å, Position (°2θ), I_rel
3.282, 27.2, 21.3
3.016, 29.6, 21.2
2.955, 30.2, 100.0
2.888, 31.0, 28.6
2.815, 31.8, 58.1
2.742, 32.7, 27.9

Structure:
a = 6.757 Å, b = 6.757 Å, c = 9.242 Å
α = 105.13°, β = 105.13°, γ = 62.52°
Sites, in units of the cell vectors:
La 0.071 0.537 0.199
La 0.128 0.128 0.421
La 0.463 0.929 0.801
La 0.537 0.071 0.199
La 0.872 0.872 0.579
La 0.929 0.463 0.801
Pm 0.426 0.426 0.828
Pm 0.574 0.574 0.172
Dy 0.500 0.500 0.500
Ho 0.000 0.000 0.000

8.
Theoretical XRD peak list
Compound: Be4Nb3B2
Radiation: copper Kα
Structure: DFT lattice parameters and positions (GGA-PBE)
No peak broadening, texture or thermal motion is included.

The 6 most intense peaks (15° ≤ 2θ ≤ 90°), sorted by position:
d/Å, Position (°2θ), I_rel
3.286, 27.1, 33.7
2.897, 30.9, 87.5
2.173, 41.6, 100.0
1.673, 54.9, 24.5
1.491, 62.3, 19.5
1.326, 71.1, 19.4

Structure:
a = 3.345 Å, b = 3.345 Å, c = 19.717 Å
α = 90.00°, β = 90.00°, γ = 120.00°
Sites, in units of the cell vectors:
Be 0.000 0.000 0.000
Be 0.000 0.000 0.167
Be 0.000 0.000 0.334
Be 0.000 0.000 0.666
Be 0.000 0.000 0.833
Be 0.333 0.667 0.000
Be 0.333 0.667 0.335
Be 0.333 0.667 0.665
Nb 0.667 0.333 0.086
Nb 0.667 0.333 0.248
Nb 0.667 0.333 0.421
Nb 0.667 0.333 0.579
Nb 0.667 0.333 0.752
Nb 0.667 0.333 0.914
B 0.000 0.000 0.500
B 0.333 0.667 0.167
B 0.333 0.667 0.500
B 0.333 0.667 0.833

9.
Theoretical XRD peak list
Compound: NdHoI4
Radiation: copper Kα
Structure: DFT lattice parameters and positions (GGA-PBE)
No peak broadening, texture or thermal motion is included.

The 6 most intense peaks (15° ≤ 2θ ≤ 90°), sorted by position:
d/Å, Position (°2θ), I_rel
3.312, 26.9, 49.5
3.301, 27.0, 100.0
2.698, 33.2, 32.8
2.690, 33.3, 67.4
2.155, 41.9, 31.6
2.096, 43.2, 31.8

Structure:
a = 9.072 Å, b = 9.072 Å, c = 7.272 Å
α = 113.52°, β = 113.52°, γ = 26.57°
Sites, in units of the cell vectors:
Nd 0.000 0.000 0.000
Ho 0.500 0.500 0.500
I 0.122 0.122 0.778
I 0.374 0.374 0.696
I 0.626 0.626 0.304
I 0.878 0.878 0.222

10.
Theoretical XRD peak list
Compound: Cu2Br3
Radiation: copper Kα
Structure: DFT lattice parameters and positions (GGA-PBE)
No peak broadening, texture or thermal motion is included.

The 6 most intense peaks (15° ≤ 2θ ≤ 90°), sorted by position:
d/Å, Position (°2θ), I_rel
3.256, 27.4, 100.0
3.222, 27.7, 36.1
2.003, 45.3, 15.2
1.993, 45.5, 44.5
1.975, 45.9, 29.2
1.705, 53.8, 19.4

Structure:
a = 6.926 Å, b = 6.926 Å, c = 6.812 Å
α = 99.30°, β = 99.30°, γ = 120.30°
Sites, in units of the cell vectors:
Cu 0.084 0.916 0.500
Cu 0.230 0.726 0.994
Cu 0.726 0.230 0.494
Cu 0.916 0.084 0.000
Br 0.104 0.608 0.616
Br 0.277 0.450 0.125
Br 0.450 0.277 0.625
Br 0.608 0.104 0.116
Br 0.782 0.945 0.621
Br 0.945 0.782 0.121

11.
Theoretical XRD peak list
Compound: Ca3CuRhO6
Radiation: copper Kα
Structure: DFT lattice parameters and positions (GGA-PBE)
No peak broadening, texture or thermal motion is included.

The 6 most intense peaks (15° ≤ 2θ ≤ 90°), sorted by position:
d/Å, Position (°2θ), I_rel
4.601, 19.3, 100.0
2.911, 30.7, 32.6
2.685, 33.4, 69.7
2.644, 33.9, 49.4
2.289, 39.4, 45.7
2.041, 44.4, 30.8

Structure:
a = 6.540 Å, b = 6.540 Å, c = 6.455 Å
α = 90.26°, β = 90.26°, γ = 91.26°
Sites, in units of the cell vectors:
Ca 0.097 0.903 0.750
Ca 0.236 0.387 0.625
Ca 0.387 0.236 0.125
Ca 0.613 0.764 0.875
Ca 0.764 0.613 0.375
Ca 0.903 0.097 0.250
Cu 0.310 0.690 0.250
Cu 0.690 0.310 0.750
Rh 0.000 0.500 0.000
Rh 0.500 0.000 0.500
O 0.082 0.209 0.935
O 0.107 0.475 0.294
O 0.209 0.082 0.435
O 0.292 0.608 0.957
O 0.392 0.708 0.543
O 0.475 0.107 0.794
O 0.525 0.893 0.206
O 0.608 0.292 0.457
O 0.708 0.392 0.043
O 0.791 0.918 0.565
O 0.893 0.525 0.706
O 0.918 0.791 0.065

12.
Theoretical XRD peak list
Compound: Zn3Ag4
Radiation: copper Kα
Structure: DFT lattice parameters and positions (GGA-PBE)
No peak broadening, texture or thermal motion is included.

The 6 most intense peaks (15° ≤ 2θ ≤ 90°), sorted by position:
d/Å, Position (°2θ), I_rel
2.308, 39.0, 100.0
2.288, 39.4, 48.7
2.255, 40.0, 94.9
2.227, 40.5, 45.7
1.630, 56.4, 16.1
1.596, 57.8, 30.0

Structure:
a = 4.511 Å, b = 4.511 Å, c = 7.113 Å
α = 107.75°, β = 107.75°, γ = 59.17°
Sites, in units of the cell vectors:
Zn 0.000 0.000 0.000
Zn 0.145 0.145 0.438
Zn 0.855 0.855 0.562
Ag 0.290 0.290 0.868
Ag 0.431 0.431 0.295
Ag 0.569 0.569 0.705
Ag 0.710 0.710 0.132